Starting from a DFT-relaxed cell (PBE, Alexandria), the powder diffraction line list of Zn8Cu2Au was computed for λ = 1.5418 Å (Cu Kα).
Peak positions follow from Bragg's law for the DFT cell and can differ from measured ones.

Cell lengths 6.7619, 6.7619, 4.6654 Å; angles 99.77, 99.77, 121.47 degrees
Fractional coordinates of all 11 atoms:
Zn 0.0951 0.3247 0.6639
Zn 0.2282 0.7718 0.0000
Zn 0.3247 0.0951 0.6639
Zn 0.4169 0.4169 0.2181
Zn 0.5831 0.5831 0.7819
Zn 0.6753 0.9049 0.3361
Zn 0.7718 0.2282 0.0000
Zn 0.9049 0.6753 0.3361
Cu 0.3010 0.6990 0.5000
Cu 0.6990 0.3010 0.5000
Au 0.0000 0.0000 0.0000

The 6 most intense peaks (5° ≤ 2θ ≤ 70°), by angle:
2θ = 29.77°, intensity 56
2θ = 36.75°, intensity 65
2θ = 39.37°, intensity 59
2θ = 42.07°, intensity 81
2θ = 42.30°, intensity 97
2θ = 43.62°, intensity 100